No. 1
The following is a computed powder diffractogram of GdCuSi. It was derived from a GGA-PBE-relaxed structure, using a wavelength of 1.5418 Å.
No peak broadening, texture or thermal motion is included.

Most intense lines, 15 to 90 degrees two-theta, by angle:
d 3.604, intensity 31
d 2.614, intensity 100
d 2.081, intensity 39
d 1.899, intensity 10
d 1.680, intensity 7
d 1.628, intensity 23
d 1.403, intensity 21
d 1.282, intensity 21
d 1.201, intensity 6
d 1.194, intensity 8

Structure:
```
GdCuSi
1.0
4.1616 0.0000 0.0000
-2.0808 3.6040 0.0000
0.0000 0.0000 7.5958
Gd Cu Si
2 2 2
direct
0.0000 0.0000 0.0000
0.0000 0.0000 0.5000
0.3333 0.6667 0.2500
0.6667 0.3333 0.7500
0.3333 0.6667 0.7500
0.6667 0.3333 0.2500
```

---

No. 2
The following is a computed powder diffractogram of GdCuSi. It was derived from a GGA-PBE-relaxed structure, using a wavelength of 1.5418 Å.
No peak broadening, texture or thermal motion is included.

Most intense lines, 15 to 90 degrees two-theta, by angle:
d 3.537, intensity 30
d 2.659, intensity 100
d 2.042, intensity 34
d 2.017, intensity 11
d 1.752, intensity 9
d 1.620, intensity 22
d 1.435, intensity 21
d 1.269, intensity 19
d 1.257, intensity 9
d 1.179, intensity 6

Structure:
```
GdCuSi
1.0
4.0846 0.0000 0.0000
-2.0423 3.5374 0.0000
0.0000 0.0000 4.0333
Gd Cu Si
1 1 1
direct
0.0000 0.0000 0.0000
0.3333 0.6667 0.5000
0.6667 0.3333 0.5000
```

---

No. 3
The following is a computed powder diffractogram of GdCu2Si2. It was derived from a GGA-PBE-relaxed structure, using a wavelength of 1.5418 Å.
No peak broadening, texture or thermal motion is included.

Most intense lines, 15 to 90 degrees two-theta, by angle:
d 3.720, intensity 41
d 2.558, intensity 45
d 2.492, intensity 16
d 2.464, intensity 100
d 2.005, intensity 37
d 1.785, intensity 17
d 1.578, intensity 20
d 1.562, intensity 15
d 1.433, intensity 15
d 1.229, intensity 21

Structure:
```
GdCu2Si2
1.0
-2.0050 2.0050 4.9834
2.0050 -2.0050 4.9834
2.0050 2.0050 -4.9834
Gd Cu Si
1 2 2
direct
0.0000 0.0000 0.0000
0.2500 0.7500 0.5000
0.7500 0.2500 0.5000
0.3815 0.3815 0.0000
0.6185 0.6185 0.0000
```

---

No. 4
The following is a computed powder diffractogram of GdCu2Sn2. It was derived from a GGA-PBE-relaxed structure, using a wavelength of 1.5418 Å.
No peak broadening, texture or thermal motion is included.

Most intense lines, 15 to 90 degrees two-theta, by angle:
d 3.114, intensity 14
d 2.754, intensity 61
d 2.684, intensity 100
d 2.202, intensity 64
d 2.017, intensity 19
d 1.908, intensity 26
d 1.720, intensity 30
d 1.557, intensity 21
d 1.442, intensity 20
d 1.347, intensity 23

Structure:
```
GdCu2Sn2
1.0
4.4034 0.0000 0.0000
0.0000 4.4034 0.0000
0.0000 0.0000 10.5861
Gd Cu Sn
2 4 4
direct
0.2500 0.2500 0.2368
0.7500 0.7500 0.7632
0.2500 0.2500 0.6361
0.2500 0.7500 0.0000
0.7500 0.2500 0.0000
0.7500 0.7500 0.3639
0.2500 0.2500 0.8722
0.2500 0.7500 0.5000
0.7500 0.2500 0.5000
0.7500 0.7500 0.1278
```

---

No. 5
The following is a computed powder diffractogram of GdCu5Sn. It was derived from a GGA-PBE-relaxed structure, using a wavelength of 1.5418 Å.
No peak broadening, texture or thermal motion is included.

Most intense lines, 15 to 90 degrees two-theta, by angle:
d 2.878, intensity 31
d 2.510, intensity 80
d 2.358, intensity 71
d 2.346, intensity 100
d 2.188, intensity 25
d 2.100, intensity 33
d 2.029, intensity 44
d 1.983, intensity 45
d 1.418, intensity 26
d 1.332, intensity 24

Structure:
```
GdCu5Sn
1.0
8.2285 0.0000 0.0000
0.0000 5.0206 0.0000
0.0000 0.0000 10.5391
Gd Cu Sn
4 20 4
direct
0.2469 0.2500 0.0627
0.2531 0.7500 0.5627
0.7469 0.2500 0.4373
0.7531 0.7500 0.9373
0.0600 0.7500 0.1034
0.0649 0.0003 0.3134
0.0649 0.4997 0.3134
0.0858 0.2500 0.5181
0.1858 0.2500 0.7450
0.3142 0.7500 0.2450
0.4142 0.7500 0.0181
0.4351 0.9997 0.8134
0.4351 0.5003 0.8134
0.4400 0.2500 0.6034
0.5600 0.7500 0.3966
0.5649 0.0003 0.1866
0.5649 0.4997 0.1866
0.5858 0.2500 0.9819
0.6858 0.2500 0.7550
0.8142 0.7500 0.2550
0.9142 0.7500 0.4819
0.9351 0.9997 0.6866
0.9351 0.5003 0.6866
0.9400 0.2500 0.8966
0.1407 0.7500 0.8613
0.3593 0.2500 0.3613
0.6407 0.7500 0.6387
0.8593 0.2500 0.1387
```

---

No. 6
The following is a computed powder diffractogram of GdCuSn. It was derived from a GGA-PBE-relaxed structure, using a wavelength of 1.5418 Å.
No peak broadening, texture or thermal motion is included.

Most intense lines, 15 to 90 degrees two-theta, by angle:
d 3.954, intensity 8
d 3.480, intensity 12
d 2.687, intensity 100
d 2.283, intensity 66
d 2.078, intensity 12
d 1.740, intensity 28
d 1.429, intensity 18
d 1.384, intensity 26
d 1.318, intensity 11
d 1.141, intensity 7

Structure:
```
GdCuSn
1.0
4.5659 0.0000 0.0000
-2.2829 3.9542 0.0000
0.0000 0.0000 7.3268
Gd Cu Sn
2 2 2
direct
0.0000 0.0000 0.0000
0.0000 0.0000 0.5000
0.3333 0.6667 0.3129
0.6667 0.3333 0.8129
0.3333 0.6667 0.7313
0.6667 0.3333 0.2313
```